# B4W6C
Theoretical PXRD pattern, Cu Kα. Input: a cell relaxed with PBE.
No peak broadening, texture or thermal motion is included.

Top 10 peaks for 5° ≤ 2θ ≤ 70°, in order of falling intensity:
35.43 deg, intensity 100; 41.26 deg, intensity 99; 32.97 deg, intensity 59; 40.52 deg, intensity 52; 43.74 deg, intensity 52; 32.13 deg, intensity 38; 39.02 deg, intensity 36; 69.89 deg, intensity 26; 42.91 deg, intensity 23; 67.71 deg, intensity 22

Crystal structure
Cell: 6.417 12.371 3.091 Å, 90.00 90.00 90.00°
Fractional positions:
B (0.075, 0.085, 0.000)
B (0.134, 0.810, 0.000)
B (0.366, 0.310, 0.000)
B (0.425, 0.585, 0.000)
B (0.575, 0.415, 0.000)
B (0.634, 0.690, 0.000)
B (0.866, 0.190, 0.000)
B (0.925, 0.915, 0.000)
W (0.060, 0.614, 0.000)
W (0.139, 0.225, 0.500)
W (0.188, 0.948, 0.500)
W (0.312, 0.448, 0.500)
W (0.361, 0.725, 0.500)
W (0.440, 0.114, 0.000)
W (0.560, 0.886, 0.000)
W (0.639, 0.275, 0.500)
W (0.688, 0.552, 0.500)
W (0.812, 0.052, 0.500)
W (0.861, 0.775, 0.500)
W (0.940, 0.386, 0.000)
C (0.000, 0.500, 0.500)
C (0.500, 0.000, 0.500)


# B4W7C4
Theoretical PXRD pattern, Cu Kα. Input: a cell relaxed with PBE.
No peak broadening, texture or thermal motion is included.

Top 10 peaks for 5° ≤ 2θ ≤ 70°, in order of falling intensity:
35.21 deg, intensity 100; 34.82 deg, intensity 50; 41.10 deg, intensity 43; 39.74 deg, intensity 34; 58.50 deg, intensity 21; 38.44 deg, intensity 21; 41.51 deg, intensity 18; 63.14 deg, intensity 18; 42.72 deg, intensity 16; 44.67 deg, intensity 15

Crystal structure
Cell: 16.028 16.028 16.028 Å, 168.97 168.79 15.75°
Fractional positions:
B (0.029, 0.029, 0.000)
B (0.058, 0.558, 0.500)
B (0.942, 0.442, 0.500)
B (0.971, 0.971, 0.000)
W (0.144, 0.644, 0.500)
W (0.281, 0.781, 0.500)
W (0.418, 0.918, 0.500)
W (0.500, 0.500, 0.000)
W (0.582, 0.082, 0.500)
W (0.719, 0.219, 0.500)
W (0.856, 0.356, 0.500)
C (0.212, 0.712, 0.500)
C (0.352, 0.852, 0.500)
C (0.648, 0.148, 0.500)
C (0.788, 0.288, 0.500)


# B6W7C3
Theoretical PXRD pattern, Cu Kα. Input: a cell relaxed with PBE.
No peak broadening, texture or thermal motion is included.

Top 10 peaks for 5° ≤ 2θ ≤ 70°, in order of falling intensity:
34.88 deg, intensity 100; 40.93 deg, intensity 50; 35.92 deg, intensity 34; 43.23 deg, intensity 30; 69.75 deg, intensity 28; 38.67 deg, intensity 28; 64.32 deg, intensity 22; 32.73 deg, intensity 22; 39.68 deg, intensity 20; 45.43 deg, intensity 18

Crystal structure
Cell: 16.373 16.373 3.167 Å, 90.00 90.00 169.19°
Fractional positions:
B (0.151, 0.849, 0.000)
B (0.264, 0.736, 0.000)
B (0.320, 0.680, 0.000)
B (0.680, 0.320, 0.000)
B (0.736, 0.264, 0.000)
B (0.849, 0.151, 0.000)
W (0.066, 0.934, 0.000)
W (0.208, 0.792, 0.500)
W (0.371, 0.629, 0.500)
W (0.500, 0.500, 0.500)
W (0.629, 0.371, 0.500)
W (0.792, 0.208, 0.500)
W (0.934, 0.066, 0.000)
C (0.000, 0.000, 0.000)
C (0.434, 0.566, 0.500)
C (0.566, 0.434, 0.500)